No. 1
Calculated powder XRD pattern of Ac for a wavelength of 1.5418 Å, from a structure optimized by DFT (PBE).

The 9 most intense peaks (2θ = 10–90°), sorted by position:
Position (°2θ)  d/Å  intensity
27.3  3.268  100.0
31.6  2.830  51.7
45.3  2.001  39.0
53.7  1.707  47.8
56.3  1.634  13.9
66.0  1.415  6.5
72.8  1.299  19.7
75.0  1.266  18.1
83.7  1.155  13.8

Structural model:
a = 4.003 Å, b = 4.003 Å, c = 9.804 Å
α = 90.00°, β = 90.00°, γ = 120.00°
Atoms (fractional coordinates):
Ac  0.000  0.345  0.167
Ac  0.345  0.000  0.833
Ac  0.655  0.655  0.500

---

No. 2
Calculated powder XRD pattern of Ac for a wavelength of 1.5418 Å, from a structure optimized by DFT (PBE).

The 10 most intense peaks (2θ = 10–90°), sorted by position:
Position (°2θ)  d/Å  intensity
26.5  3.364  42.1
27.4  3.251  34.3
29.1  3.070  100.0
33.0  2.715  24.1
45.1  2.010  27.6
49.5  1.840  23.8
53.6  1.710  33.7
54.6  1.682  18.0
73.4  1.290  15.2
75.2  1.264  12.7

Structural model:
a = 4.021 Å, b = 4.021 Å, c = 13.003 Å
α = 90.00°, β = 90.00°, γ = 120.00°
Atoms (fractional coordinates):
Ac  0.000  0.000  0.000
Ac  0.000  0.000  0.500
Ac  0.333  0.667  0.250
Ac  0.667  0.333  0.750

---

No. 3
Calculated powder XRD pattern of Ac for a wavelength of 1.5418 Å, from a structure optimized by DFT (PBE).

The 10 most intense peaks (2θ = 10–90°), sorted by position:
Position (°2θ)  d/Å  intensity
25.8  3.451  35.5
27.7  3.221  49.7
28.5  3.134  100.0
30.0  2.981  86.0
45.2  2.006  40.8
48.5  1.877  24.5
51.4  1.779  19.4
53.8  1.703  49.3
54.3  1.690  17.3
75.7  1.256  18.4

Structural model:
a = 9.936 Å, b = 9.936 Å, c = 9.936 Å
α = 23.30°, β = 23.30°, γ = 23.30°
Atoms (fractional coordinates):
Ac  0.000  0.000  0.000
Ac  0.223  0.223  0.223
Ac  0.777  0.777  0.777

---

No. 4
Calculated powder XRD pattern of Ac for a wavelength of 1.5418 Å, from a structure optimized by DFT (PBE).

The 9 most intense peaks (2θ = 10–90°), sorted by position:
Position (°2θ)  d/Å  intensity
27.3  3.269  100.0
31.6  2.831  51.7
45.3  2.002  39.2
53.7  1.707  48.1
56.3  1.635  14.0
66.0  1.416  6.6
72.8  1.299  19.8
75.0  1.266  18.3
83.7  1.156  14.0

Structural model:
a = 4.004 Å, b = 4.004 Å, c = 4.004 Å
α = 60.00°, β = 60.00°, γ = 60.00°
Atoms (fractional coordinates):
Ac  0.000  0.000  0.000

---

- Number 4 is which compound?
  Ac